Diffraction record for Li2PaBr8. The powder diffraction line list is simulated, not measured: it uses a DFT-relaxed cell (PBE, Alexandria) and Cu Kα (weighted mean of Kα1 and Kα2).
Intensities are scaled so that the largest is 100.

Principal peaks in the range 2θ = 5–70°, low angle first:
index, d [Å], intensity
0 0 1, 7.404, 66
1 1 0, 6.372, 100
1 1 -1, 5.405, 59
2 0 -1, 3.687, 77
1 3 1, 3.110, 62
1 1 2, 2.951, 87
0 4 1, 2.864, 85
2 4 0, 2.381, 49
1 5 1, 2.198, 42
2 4 -2, 2.160, 60

Unit cell a=7.641 b=12.423 c=7.622 alpha=90.00 beta=103.73 gamma=90.00
Space group C2/m (No. 12)
Symmetry-distinct sites (fractional):
Li1 0.000 0.244 0.000 x4
Pa1 0.000 0.000 0.500 x2
Br1 0.000 0.223 0.500 x4
Br2 0.219 0.126 0.859 x8
Br3 0.223 0.500 0.653 x4

Diffraction record for Ac3AuBr3. The powder diffraction line list is simulated, not measured: it uses a DFT-relaxed cell (PBE, Alexandria) and Cu Kα (weighted mean of Kα1 and Kα2).
Intensities are scaled so that the largest is 100.

Principal peaks in the range 2θ = 5–70°, low angle first:
index, d [Å], intensity
1 1 0, 9.154, 64
3 1 0, 4.094, 12
4 0 0, 3.236, 100
4 1 1, 3.051, 11
5 1 0, 2.539, 17
4 4 0, 2.288, 76
5 4 1, 1.997, 10
4 4 4, 1.868, 27
8 0 0, 1.618, 12
8 4 0, 1.447, 33

Unit cell a=12.945 b=12.945 c=12.945 alpha=90.00 beta=90.00 gamma=90.00
Space group I4_132 (No. 214)
Symmetry-distinct sites (fractional):
Ac1 0.114 0.364 0.125 x24
Au1 0.125 0.125 0.125 x8
Br1 0.121 0.129 0.625 x24

Diffraction record for Li2Sc3Cd7. The powder diffraction line list is simulated, not measured: it uses a DFT-relaxed cell (PBE, Alexandria) and Cu Kα (weighted mean of Kα1 and Kα2).
Intensities are scaled so that the largest is 100.

Principal peaks in the range 2θ = 5–70°, low angle first:
index, d [Å], intensity
0 0 1, 11.303, 47
0 1 1, 4.516, 44
0 0 3, 3.768, 23
1 1 2, 2.778, 25
1 1 -3, 2.705, 37
0 2 0, 2.463, 63
2 0 -1, 2.411, 58
1 1 3, 2.389, 100
1 1 -4, 2.325, 78
2 2 -1, 1.723, 38

Unit cell a=4.825 b=4.927 c=11.475 alpha=90.00 beta=99.93 gamma=90.00
Space group P2/m (No. 10)
Symmetry-distinct sites (fractional):
Li1 0.136 0.000 0.301 x2
Sc1 0.000 0.000 0.000 x1
Sc2 0.385 0.500 0.680 x2
Cd1 0.057 0.500 0.161 x2
Cd2 0.272 0.000 0.552 x2
Cd3 0.428 0.000 0.834 x2
Cd4 0.500 0.500 0.000 x1

Diffraction record for Cd5InAu3. The powder diffraction line list is simulated, not measured: it uses a DFT-relaxed cell (PBE, Alexandria) and Cu Kα (weighted mean of Kα1 and Kα2).
Intensities are scaled so that the largest is 100.

Principal peaks in the range 2θ = 5–70°, low angle first:
index, d [Å], intensity
2 0 -2, 4.352, 72
0 2 0, 4.228, 100
3 1 0, 3.514, 43
2 2 1, 3.081, 66
1 1 -4, 2.432, 64
1 3 2, 2.331, 41
3 3 0, 2.277, 56
5 1 -2, 2.262, 53
4 0 2, 2.249, 61
1 3 -4, 1.887, 44

Unit cell a=12.013 b=8.456 c=10.173 alpha=90.00 beta=105.27 gamma=90.00
Space group C2/m (No. 12)
Symmetry-distinct sites (fractional):
Cd1 0.000 0.180 0.000 x4
Cd2 0.074 0.000 0.403 x4
Cd3 0.193 0.308 0.612 x8
Cd4 0.239 0.500 0.030 x4
In1 0.093 0.500 0.279 x4
Au1 0.000 0.500 0.000 x2
Au2 0.000 0.500 0.500 x2
Au3 0.166 0.000 0.185 x4
Au4 0.167 0.000 0.692 x4

Diffraction record for Sm2ErTe2As2. The powder diffraction line list is simulated, not measured: it uses a DFT-relaxed cell (PBE, Alexandria) and Cu Kα (weighted mean of Kα1 and Kα2).
Intensities are scaled so that the largest is 100.

Principal peaks in the range 2θ = 5–70°, low angle first:
index, d [Å], intensity
0 0 2, 7.779, 22
1 1 0, 3.741, 78
1 1 4, 2.696, 12
1 0 5, 2.682, 100
2 0 0, 2.645, 77
2 1 5, 1.883, 71
2 2 0, 1.871, 28
2 0 6, 1.852, 7
3 1 0, 1.673, 16
3 0 5, 1.534, 18

Unit cell a=5.291 b=5.291 c=15.558 alpha=90.00 beta=90.00 gamma=90.00
Space group I4/mmm (No. 139)
Symmetry-distinct sites (fractional):
Sm1 0.000 0.000 0.112 x4
Er1 0.000 0.000 0.500 x2
Te1 0.000 0.000 0.306 x4
As1 0.000 0.500 0.000 x4

Diffraction record for Ag2OsRuPt. The powder diffraction line list is simulated, not measured: it uses a DFT-relaxed cell (PBE, Alexandria) and Cu Kα (weighted mean of Kα1 and Kα2).
Intensities are scaled so that the largest is 100.

Principal peaks in the range 2θ = 5–70°, low angle first:
index, d [Å], intensity
1 1 0, 3.529, 32
1 0 1, 3.347, 65
1 1 1, 2.780, 61
2 0 0, 2.496, 100
0 0 2, 2.255, 37
2 1 1, 2.001, 32
2 2 0, 1.765, 35
2 0 2, 1.673, 59
3 1 1, 1.490, 17
2 2 2, 1.390, 31

Unit cell a=4.991 b=4.991 c=4.511 alpha=90.00 beta=90.00 gamma=90.00
Space group P4/mmm (No. 123)
Symmetry-distinct sites (fractional):
Ag1 0.000 0.500 0.000 x2
Os1 0.000 0.000 0.000 x1
Ru1 0.000 0.000 0.500 x1
Pt1 0.500 0.500 0.500 x1

Diffraction record for Rb2AcCeO4. The powder diffraction line list is simulated, not measured: it uses a DFT-relaxed cell (PBE, Alexandria) and Cu Kα (weighted mean of Kα1 and Kα2).
Intensities are scaled so that the largest is 100.

Principal peaks in the range 2θ = 5–70°, low angle first:
index, d [Å], intensity
0 0 1, 6.637, 37
0 0 2, 3.318, 38
1 1 0, 3.238, 13
2 0 0, 3.117, 88
1 1 1, 2.740, 100
2 0 2, 1.983, 35
0 2 0, 1.895, 34
2 0 -4, 1.702, 19
3 1 -3, 1.646, 21
4 0 0, 1.558, 18

Unit cell a=6.570 b=3.786 c=6.993 alpha=90.00 beta=108.36 gamma=90.00
Space group P2/m (No. 10)
Symmetry-distinct sites (fractional):
Rb1 0.000 0.000 0.000 x1
Rb2 0.500 0.500 0.000 x1
Ac1 0.000 0.500 0.500 x1
Ce1 0.500 0.000 0.500 x1
O1 0.241 0.000 0.680 x2
O2 0.285 0.500 0.321 x2